No. 1
Structure and theoretical powder diffraction line list of BaBr2 (DFT lattice parameters and positions (PBE); CuKα).

Structural model:
Unit cell a=8.3969 b=5.0671 c=10.0849 alpha=90.00 beta=90.00 gamma=90.00
Space group Pnma (No. 62)
One atom of each set of equivalent atoms:
Ba 0.2460 0.2500 0.1122
Br 0.0225 0.2500 0.8341
Br 0.1420 0.2500 0.4261

Main lines, in order of rising 2θ (10 to 90 degrees two-theta):
- 2θ 27.11, intensity 55, hkl 1 1 2
- 2θ 27.61, intensity 37, hkl 2 1 0
- 2θ 29.00, intensity 100, hkl 2 1 1
- 2θ 31.95, intensity 55, hkl 0 1 3
- 2θ 35.43, intensity 49, hkl 0 2 0
- 2θ 36.72, intensity 36, hkl 3 0 2
- 2θ 37.79, intensity 25, hkl 3 1 1
- 2θ 38.64, intensity 30, hkl 2 1 3
- 2θ 51.98, intensity 39, hkl 3 2 2
- 2θ 58.64, intensity 26, hkl 5 1 1

=====

No. 2
Structure and theoretical powder diffraction line list of KMgPSe4 (DFT lattice parameters and positions (PBE); CuKα).

Structural model:
Unit cell a=6.4601 b=7.0677 c=9.0159 alpha=90.00 beta=107.93 gamma=90.00
Space group P2_1/m (No. 11)
One atom of each set of equivalent atoms:
K 0.2267 0.2500 0.0598
Mg 0.2364 0.2500 0.5572
P 0.2111 0.7500 0.3333
Se 0.0174 0.0031 0.7047
Se 0.4047 0.7500 0.1698
Se 0.4411 0.7500 0.5725

Main lines, in order of rising 2θ (10 to 90 degrees two-theta):
- 2θ 10.31, intensity 40, hkl 0 0 1
- 2θ 28.82, intensity 30, hkl 1 0 2
- 2θ 29.14, intensity 100, hkl 1 2 0
- 2θ 29.42, intensity 26, hkl 1 2 -1
- 2θ 30.12, intensity 48, hkl 2 0 -2
- 2θ 31.53, intensity 35, hkl 1 1 2
- 2θ 32.73, intensity 25, hkl 2 1 -2
- 2θ 32.84, intensity 24, hkl 0 2 2
- 2θ 33.23, intensity 29, hkl 1 2 -2
- 2θ 48.77, intensity 20, hkl 2 2 2

=====

No. 3
Structure and theoretical powder diffraction line list of ZnIn2Hg2 (DFT lattice parameters and positions (PBE); CuKα).

Structural model:
Unit cell a=6.9128 b=11.7692 c=6.9515 alpha=90.00 beta=117.73 gamma=90.00
Space group C2/m (No. 12)
One atom of each set of equivalent atoms:
Zn 0.0000 0.1160 0.0000
In 0.2207 0.2065 0.7380
Hg 0.0842 0.5000 0.8432
Hg 0.1701 0.0000 0.4188

Main lines, in order of rising 2θ (10 to 90 degrees two-theta):
- 2θ 15.06, intensity 38, hkl 0 2 0
- 2θ 25.98, intensity 29, hkl 1 1 1
- 2θ 30.38, intensity 35, hkl 0 4 0
- 2θ 33.83, intensity 100, hkl 2 2 -2
- 2θ 33.87, intensity 85, hkl 1 3 1
- 2θ 40.07, intensity 40, hkl 1 1 -3
- 2θ 40.32, intensity 34, hkl 3 1 -1
- 2θ 43.31, intensity 19, hkl 2 4 -2
- 2θ 55.99, intensity 18, hkl 1 5 -3
- 2θ 56.20, intensity 26, hkl 3 5 -1

=====

No. 4
Structure and theoretical powder diffraction line list of In2Bi2S7 (DFT lattice parameters and positions (PBE); CuKα).

Structural model:
Unit cell a=8.4198 b=11.8196 c=6.5829 alpha=90.00 beta=94.56 gamma=90.00
Space group C2/m (No. 12)
One atom of each set of equivalent atoms:
In 0.2156 0.0000 0.1083
Bi 0.0000 0.1945 0.5000
S 0.0000 0.5000 0.0000
S 0.0749 0.0000 0.7472
S 0.2427 0.3080 0.7367

Main lines, in order of rising 2θ (10 to 90 degrees two-theta):
- 2θ 12.94, intensity 44, hkl 1 1 0
- 2θ 19.34, intensity 34, hkl 1 1 1
- 2θ 20.22, intensity 100, hkl 0 2 1
- 2θ 24.25, intensity 32, hkl 2 0 -1
- 2θ 26.07, intensity 48, hkl 2 0 1
- 2θ 34.68, intensity 24, hkl 3 1 -1
- 2θ 37.88, intensity 33, hkl 1 3 2
- 2θ 39.25, intensity 20, hkl 2 2 2
- 2θ 42.32, intensity 21, hkl 1 5 1
- 2θ 51.82, intensity 20, hkl 3 5 -1

=====

No. 5
Structure and theoretical powder diffraction line list of Tb6DyHo6 (DFT lattice parameters and positions (PBE); CuKα).

Structural model:
Unit cell a=6.9945 b=11.0160 c=11.0019 alpha=90.00 beta=90.00 gamma=90.00
Space group Cmmm (No. 65)
One atom of each set of equivalent atoms:
Tb 0.0000 0.0000 0.1677
Tb 0.0000 0.2629 0.0000
Tb 0.0000 0.3560 0.5000
Dy 0.0000 0.0000 0.5000
Ho 0.0000 0.5000 0.1974
Ho 0.2500 0.2500 0.2754

Main lines, in order of rising 2θ (10 to 90 degrees two-theta):
- 2θ 29.26, intensity 80, hkl 0 2 3
- 2θ 30.28, intensity 94, hkl 2 2 0
- 2θ 31.98, intensity 29, hkl 1 3 2
- 2θ 32.53, intensity 68, hkl 0 4 0
- 2θ 34.48, intensity 100, hkl 2 2 2
- 2θ 35.47, intensity 32, hkl 2 0 3
- 2θ 36.50, intensity 38, hkl 0 4 2
- 2θ 42.58, intensity 22, hkl 2 4 1
- 2θ 56.65, intensity 34, hkl 2 0 6
- 2θ 59.96, intensity 24, hkl 2 4 5

=====

No. 6
Structure and theoretical powder diffraction line list of Na2Ca4ZrNbSi4O17F (DFT lattice parameters and positions (PBE); CuKα).

Structural model:
Unit cell a=7.4415 b=10.4760 c=11.0005 alpha=90.00 beta=109.15 gamma=90.00
Space group P2_1 (No. 4)
One atom of each set of equivalent atoms:
Na 0.0824 0.0000 0.3755
Na 0.1896 0.1506 0.1397
Ca 0.0437 0.3461 0.3420
Ca 0.1960 0.7705 0.1512
Ca 0.2953 0.6386 0.8670
Ca 0.4510 0.8807 0.6514
Zr 0.3096 0.2651 0.8500
Nb 0.4063 0.5141 0.6132
Si 0.0455 0.6970 0.4273
Si 0.1311 0.4489 0.0668
Si 0.3005 0.9494 0.9303
Si 0.3809 0.1928 0.5768
O 0.0129 0.6663 0.7504
O 0.0204 0.2131 0.7305
O 0.1072 0.9324 0.9737
O 0.1474 0.8209 0.5061
O 0.1500 0.1674 0.5374
O 0.1620 0.3468 0.9590
O 0.1680 0.5624 0.4760
O 0.1726 0.5941 0.0343
O 0.2360 0.4001 0.2119
O 0.2656 0.9113 0.7829
O 0.2940 0.4313 0.7275
O 0.3731 0.0974 0.9662
O 0.4019 0.3304 0.5114
O 0.4369 0.8405 0.0270
O 0.4535 0.0675 0.5173
O 0.4661 0.6615 0.7086
O 0.4739 0.1949 0.7337
F 0.3165 0.9464 0.2764

Main lines, in order of rising 2θ (10 to 90 degrees two-theta):
- 2θ 15.22, intensity 35, hkl 1 1 -1
- 2θ 17.39, intensity 30, hkl 1 0 1
- 2θ 19.03, intensity 34, hkl 0 1 2
- 2θ 21.19, intensity 33, hkl 1 2 -1
- 2θ 26.93, intensity 54, hkl 0 3 1
- 2θ 29.37, intensity 89, hkl 2 0 1
- 2θ 29.68, intensity 84, hkl 2 0 -3
- 2θ 30.85, intensity 100, hkl 0 3 2
- 2θ 30.94, intensity 50, hkl 0 2 3
- 2θ 48.96, intensity 37, hkl 4 0 -2

=====

No. 7
Structure and theoretical powder diffraction line list of Pr3CuN (DFT lattice parameters and positions (PBE); CuKα).

Structural model:
Unit cell a=8.7383 b=6.3591 c=9.4204 alpha=90.00 beta=115.17 gamma=90.00
Space group P2_1/c (No. 14)
One atom of each set of equivalent atoms:
Pr 0.0788 0.0769 0.3599
Pr 0.2025 0.5920 0.5527
Pr 0.3604 0.1091 0.7687
Cu 0.4261 0.6488 0.9164
N 0.0775 0.2500 0.1042

Main lines, in order of rising 2θ (10 to 90 degrees two-theta):
- 2θ 30.45, intensity 77, hkl 1 2 -1
- 2θ 31.11, intensity 44, hkl 1 1 2
- 2θ 31.40, intensity 88, hkl 3 0 -2
- 2θ 31.85, intensity 100, hkl 1 1 -3
- 2θ 31.98, intensity 95, hkl 2 1 1
- 2θ 34.91, intensity 48, hkl 2 2 -1
- 2θ 41.16, intensity 28, hkl 2 1 -4
- 2θ 51.60, intensity 29, hkl 1 3 2
- 2θ 56.11, intensity 20, hkl 4 1 -5
- 2θ 58.82, intensity 22, hkl 2 3 -4

=====

No. 8
Structure and theoretical powder diffraction line list of Sm2Zn2InRh5 (DFT lattice parameters and positions (PBE); CuKα).

Structural model:
Unit cell a=9.7707 b=9.7707 c=3.7015 alpha=90.00 beta=90.00 gamma=90.00
Space group P4/mbm (No. 127)
One atom of each set of equivalent atoms:
Sm 0.1750 0.3250 0.0000
Zn 0.1226 0.6226 0.0000
In 0.0000 0.0000 0.0000
Rh 0.0000 0.5000 0.5000
Rh 0.0676 0.7927 0.5000

Main lines, in order of rising 2θ (10 to 90 degrees two-theta):
- 2θ 31.68, intensity 18, hkl 2 1 1
- 2θ 35.55, intensity 17, hkl 2 2 1
- 2θ 37.94, intensity 100, hkl 3 1 1
- 2θ 39.11, intensity 10, hkl 3 3 0
- 2θ 41.30, intensity 34, hkl 4 2 0
- 2θ 44.44, intensity 6, hkl 4 0 1
- 2θ 49.23, intensity 16, hkl 0 0 2
- 2θ 63.81, intensity 14, hkl 4 1 2
- 2θ 66.22, intensity 13, hkl 5 4 1
- 2θ 84.57, intensity 6, hkl 3 1 3

=====

No. 9
Structure and theoretical powder diffraction line list of Pm4GaRu2 (DFT lattice parameters and positions (PBE); CuKα).

Structural model:
Unit cell a=4.7771 b=4.7771 c=28.1161 alpha=90.00 beta=90.00 gamma=120.00
Space group R-3m (No. 166, hexagonal axes)
One atom of each set of equivalent atoms:
Pm 0.0000 0.0000 0.1154
Pm 0.0000 0.0000 0.2952
Ga 0.0000 0.0000 0.5000
Ru 0.0000 0.0000 0.4095

Main lines, in order of rising 2θ (10 to 90 degrees two-theta):
- 2θ 24.97, intensity 19, hkl 1 0 4
- 2θ 26.75, intensity 59, hkl 0 1 5
- 2θ 31.03, intensity 43, hkl 1 0 7
- 2θ 37.66, intensity 100, hkl 1 1 0
- 2θ 38.72, intensity 59, hkl 1 0 10
- 2θ 46.79, intensity 13, hkl 2 0 5
- 2θ 55.12, intensity 21, hkl 0 2 10
- 2θ 60.26, intensity 17, hkl 0 1 17
- 2θ 67.98, intensity 17, hkl 3 0 0
- 2θ 68.68, intensity 21, hkl 2 1 10